No. 1
CaHfS3O12: simulated X-ray diffraction stick pattern (Cu Kα (weighted mean of Kα1 and Kα2)), based on a structure optimized by DFT (GGA-PBE).
Kinematic intensities with the Lorentz-polarization factor, no thermal factor.

Peak list (10 most intense, 2θ from 10° to 90°, sorted by position)
- d = 6.504 Å, intensity 100
- d = 4.641 Å, intensity 62
- d = 4.558 Å, intensity 39
- d = 3.915 Å, intensity 46
- d = 3.252 Å, intensity 45
- d = 2.930 Å, intensity 46
- d = 2.888 Å, intensity 21
- d = 2.647 Å, intensity 22
- d = 2.631 Å, intensity 21
- d = 1.819 Å, intensity 19

Atomic structure:
```
CaHfS3O12
1.0
4.5576 2.6313 7.6505
-4.5576 2.6313 7.6505
0.0000 -5.2626 7.6505
Ca Hf S O
2 2 6 24
Direct
0.0000 0.0000 0.0000
0.5000 0.5000 0.5000
0.2858 0.2858 0.2858
0.7858 0.7858 0.7858
0.0947 0.4087 0.6677
0.1677 0.9087 0.5947
0.4087 0.6677 0.0947
0.5947 0.1677 0.9087
0.6677 0.0947 0.4087
0.9087 0.5947 0.1677
0.0012 0.8839 0.6290
0.0498 0.2611 0.8267
0.0796 0.4345 0.1806
0.1290 0.3839 0.5012
0.1463 0.9295 0.7492
0.1806 0.0796 0.4345
0.2492 0.4295 0.6463
0.2611 0.8267 0.0498
0.3267 0.7611 0.5498
0.3839 0.5012 0.1290
0.4295 0.6463 0.2492
0.4345 0.1806 0.0796
0.5012 0.1290 0.3839
0.5498 0.3267 0.7611
0.5796 0.6806 0.9345
0.6290 0.0012 0.8839
0.6463 0.2492 0.4295
0.6806 0.9345 0.5796
0.7492 0.1463 0.9295
0.7611 0.5498 0.3267
0.8267 0.0498 0.2611
0.8839 0.6290 0.0012
0.9295 0.7492 0.1463
0.9345 0.5796 0.6806
```


No. 2
Ca3HfSi2O9: simulated X-ray diffraction stick pattern (Cu Kα (weighted mean of Kα1 and Kα2)), based on a structure optimized by DFT (GGA-PBE).
Kinematic intensities with the Lorentz-polarization factor, no thermal factor.

Peak list (10 most intense, 2θ from 10° to 90°, sorted by position)
- d = 7.421 Å, intensity 36
- d = 7.341 Å, intensity 100
- d = 5.262 Å, intensity 56
- d = 3.252 Å, intensity 30
- d = 3.065 Å, intensity 66
- d = 2.999 Å, intensity 79
- d = 2.892 Å, intensity 40
- d = 2.866 Å, intensity 66
- d = 2.515 Å, intensity 26
- d = 1.855 Å, intensity 27

Atomic structure:
```
Ca3HfSi2O9
1.0
7.4231 0.0000 0.0000
0.0000 10.2595 0.0000
-0.2438 0.0000 10.5072
Ca Hf Si O
12 4 8 36
Direct
0.1188 0.1712 0.0872
0.1188 0.3288 0.5872
0.3640 0.0779 0.3884
0.3640 0.4221 0.8884
0.3722 0.6962 0.4014
0.3722 0.8038 0.9014
0.6278 0.1962 0.0986
0.6278 0.3038 0.5986
0.6360 0.5779 0.1116
0.6360 0.9221 0.6116
0.8812 0.6712 0.4128
0.8812 0.8288 0.9128
0.1216 0.5608 0.1158
0.1216 0.9392 0.6158
0.8784 0.0608 0.3842
0.8784 0.4392 0.8842
0.1673 0.6242 0.6818
0.1673 0.8758 0.1818
0.4014 0.1371 0.8081
0.4014 0.3629 0.3081
0.5986 0.6371 0.6919
0.5986 0.8629 0.1919
0.8327 0.1242 0.8182
0.8327 0.3758 0.3182
0.0837 0.0023 0.2542
0.0837 0.4977 0.7542
0.0923 0.1110 0.5107
0.0923 0.3890 0.0107
0.1061 0.7334 0.2380
0.1061 0.7666 0.7380
0.1432 0.6145 0.5291
0.1432 0.8855 0.0291
0.3025 0.0031 0.7610
0.3025 0.4969 0.2610
0.3390 0.6080 0.0169
0.3390 0.8920 0.5169
0.3571 0.2321 0.2241
0.3571 0.2679 0.7241
0.3795 0.1690 0.9580
0.3795 0.3310 0.4580
0.3835 0.6063 0.7276
0.3835 0.8937 0.2276
0.6165 0.1063 0.7724
0.6165 0.3937 0.2724
0.6205 0.6690 0.5420
0.6205 0.8310 0.0420
0.6429 0.7321 0.2759
0.6429 0.7679 0.7759
0.6610 0.1080 0.4831
0.6610 0.3920 0.9831
0.6975 0.5031 0.7390
0.6975 0.9969 0.2390
0.8568 0.1145 0.9709
0.8568 0.3855 0.4709
0.8939 0.2334 0.2620
0.8939 0.2666 0.7620
0.9077 0.6110 0.9893
0.9077 0.8890 0.4893
0.9163 0.5023 0.2458
0.9163 0.9977 0.7458
```


No. 3
SrCaHf2O6: simulated X-ray diffraction stick pattern (Cu Kα (weighted mean of Kα1 and Kα2)), based on a structure optimized by DFT (GGA-PBE).
Kinematic intensities with the Lorentz-polarization factor, no thermal factor.

Peak list (10 most intense, 2θ from 10° to 90°, sorted by position)
- d = 4.068 Å, intensity 55
- d = 2.903 Å, intensity 25
- d = 2.876 Å, intensity 100
- d = 2.853 Å, intensity 24
- d = 2.034 Å, intensity 40
- d = 1.819 Å, intensity 18
- d = 1.671 Å, intensity 19
- d = 1.652 Å, intensity 23
- d = 1.438 Å, intensity 15
- d = 1.286 Å, intensity 17

Atomic structure:
```
SrCaHf2O6
1.0
8.1308 0.0000 0.0000
0.0000 5.7064 0.0000
0.0000 0.0000 5.8058
Sr Ca Hf O
2 2 4 12
Direct
0.0000 0.2400 0.0000
0.0000 0.7600 0.5000
0.5000 0.2588 0.0751
0.5000 0.7412 0.5751
0.2545 0.2486 0.5354
0.2545 0.7514 0.0354
0.7455 0.2486 0.5354
0.7455 0.7514 0.0354
0.0000 0.3251 0.5536
0.0000 0.6749 0.0536
0.2105 0.0380 0.2483
0.2105 0.9620 0.7483
0.3028 0.4587 0.8265
0.3028 0.5413 0.3265
0.5000 0.1522 0.5026
0.5000 0.8478 0.0026
0.6972 0.4587 0.8265
0.6972 0.5413 0.3265
0.7895 0.0380 0.2483
0.7895 0.9620 0.7483
```


No. 4
SrCaHf4O12: simulated X-ray diffraction stick pattern (Cu Kα (weighted mean of Kα1 and Kα2)), based on a structure optimized by DFT (GGA-PBE).
Kinematic intensities with the Lorentz-polarization factor, no thermal factor.

Peak list (10 most intense, 2θ from 10° to 90°, sorted by position)
- d = 4.090 Å, intensity 55
- d = 4.073 Å, intensity 29
- d = 2.888 Å, intensity 100
- d = 2.358 Å, intensity 11
- d = 1.830 Å, intensity 12
- d = 1.826 Å, intensity 11
- d = 1.823 Å, intensity 13
- d = 1.669 Å, intensity 28
- d = 1.665 Å, intensity 14
- d = 1.445 Å, intensity 12

Atomic structure:
```
SrCaHf4O12
1.0
8.1933 0.0000 0.0000
0.0000 4.0834 4.0733
0.0000 -4.0834 4.0733
Sr Ca Hf O
1 1 4 12
Direct
0.0000 0.0000 0.0000
0.5000 0.4442 0.4442
0.2550 0.4831 0.9579
0.2550 0.9579 0.4831
0.7450 0.4831 0.9579
0.7450 0.9579 0.4831
0.0000 0.5088 0.9467
0.0000 0.9467 0.5088
0.2315 0.2439 0.2439
0.2358 0.1847 0.7595
0.2358 0.7595 0.1847
0.3052 0.6654 0.6654
0.5000 0.0357 0.4570
0.5000 0.4570 0.0357
0.6948 0.6654 0.6654
0.7642 0.1847 0.7595
0.7642 0.7595 0.1847
0.7685 0.2439 0.2439
```


No. 5
SrCa3Hf4O12: simulated X-ray diffraction stick pattern (Cu Kα (weighted mean of Kα1 and Kα2)), based on a structure optimized by DFT (GGA-PBE).
Kinematic intensities with the Lorentz-polarization factor, no thermal factor.

Peak list (10 most intense, 2θ from 10° to 90°, sorted by position)
- d = 4.043 Å, intensity 72
- d = 2.896 Å, intensity 25
- d = 2.859 Å, intensity 100
- d = 2.823 Å, intensity 23
- d = 2.021 Å, intensity 39
- d = 1.808 Å, intensity 23
- d = 1.665 Å, intensity 19
- d = 1.637 Å, intensity 23
- d = 1.429 Å, intensity 14
- d = 1.278 Å, intensity 16

Atomic structure:
```
SrCa3Hf4O12
1.0
5.6468 0.0000 0.0000
0.0000 8.0852 0.0000
-0.0026 0.0000 5.7917
Sr Ca Hf O
1 3 4 12
Direct
0.0000 0.0000 0.0000
0.0231 0.5000 0.0865
0.5009 0.5000 0.5850
0.5237 0.0000 0.4960
0.0107 0.2520 0.5412
0.0107 0.7480 0.5412
0.5117 0.2524 0.0413
0.5117 0.7476 0.0413
0.1106 0.0000 0.5619
0.2141 0.3038 0.8372
0.2141 0.6962 0.8372
0.3049 0.3039 0.3345
0.3049 0.6961 0.3345
0.4321 0.0000 0.0750
0.6127 0.5000 0.0073
0.7128 0.1997 0.7448
0.7128 0.8003 0.7448
0.8012 0.2054 0.2533
0.8012 0.7946 0.2533
0.9132 0.5000 0.5103
```


Repeat the first record exactly.
CaHfS3O12: simulated X-ray diffraction stick pattern (Cu Kα (weighted mean of Kα1 and Kα2)), based on a structure optimized by DFT (GGA-PBE).
Kinematic intensities with the Lorentz-polarization factor, no thermal factor.

Peak list (10 most intense, 2θ from 10° to 90°, sorted by position)
- d = 6.504 Å, intensity 100
- d = 4.641 Å, intensity 62
- d = 4.558 Å, intensity 39
- d = 3.915 Å, intensity 46
- d = 3.252 Å, intensity 45
- d = 2.930 Å, intensity 46
- d = 2.888 Å, intensity 21
- d = 2.647 Å, intensity 22
- d = 2.631 Å, intensity 21
- d = 1.819 Å, intensity 19

Atomic structure:
```
CaHfS3O12
1.0
4.5576 2.6313 7.6505
-4.5576 2.6313 7.6505
0.0000 -5.2626 7.6505
Ca Hf S O
2 2 6 24
Direct
0.0000 0.0000 0.0000
0.5000 0.5000 0.5000
0.2858 0.2858 0.2858
0.7858 0.7858 0.7858
0.0947 0.4087 0.6677
0.1677 0.9087 0.5947
0.4087 0.6677 0.0947
0.5947 0.1677 0.9087
0.6677 0.0947 0.4087
0.9087 0.5947 0.1677
0.0012 0.8839 0.6290
0.0498 0.2611 0.8267
0.0796 0.4345 0.1806
0.1290 0.3839 0.5012
0.1463 0.9295 0.7492
0.1806 0.0796 0.4345
0.2492 0.4295 0.6463
0.2611 0.8267 0.0498
0.3267 0.7611 0.5498
0.3839 0.5012 0.1290
0.4295 0.6463 0.2492
0.4345 0.1806 0.0796
0.5012 0.1290 0.3839
0.5498 0.3267 0.7611
0.5796 0.6806 0.9345
0.6290 0.0012 0.8839
0.6463 0.2492 0.4295
0.6806 0.9345 0.5796
0.7492 0.1463 0.9295
0.7611 0.5498 0.3267
0.8267 0.0498 0.2611
0.8839 0.6290 0.0012
0.9295 0.7492 0.1463
0.9345 0.5796 0.6806
```